The following is a theoretical powder diffractogram of Pr2AlSb4. It was derived from a cell relaxed with PBE, using λ = 1.5418 Å (Cu Kα).
No peak broadening, texture or thermal motion is included.

Principal peaks in the range 2θ = 10–90°, low angle first:
| 2θ (°) | I (rel.) | index |
| --- | --- | --- |
| 25.14 | 18 | 0 0 3 |
| 26.35 | 36 | 1 0 2 |
| 30.01 | 35 | 1 1 1 |
| 32.49 | 29 | 1 0 3 |
| 33.46 | 100 | 1 1 2 |
| 41.16 | 44 | 2 0 0 |
| 47.55 | 23 | 1 0 5 |
| 59.62 | 15 | 2 2 0 |
| 64.67 | 18 | 2 1 5 |
| 70.12 | 23 | 3 1 2 |

Structure:
Lattice parameters (Å, degrees): 4.3862 4.3862 10.6251 90.00 90.00 90.00
Space group P-4m2 (No. 115)
Asymmetric unit:
Pr1 0.0000 0.5000 0.2354 (multiplicity 2)
Al1 0.0000 0.0000 0.5000 (multiplicity 1)
Sb1 0.0000 0.0000 0.0000 (multiplicity 1)
Sb2 0.0000 0.5000 0.6542 (multiplicity 2)
Sb3 0.5000 0.5000 0.0000 (multiplicity 1)

The following is a theoretical powder diffractogram of La4HgH. It was derived from a cell relaxed with PBE, using λ = 1.5418 Å (Cu Kα).
No peak broadening, texture or thermal motion is included.

Principal peaks in the range 2θ = 10–90°, low angle first:
| 2θ (°) | I (rel.) | index |
| --- | --- | --- |
| 11.06 | 16 | 0 0 1 |
| 29.42 | 100 | 1 2 1 |
| 29.98 | 87 | 1 1 2 |
| 30.93 | 21 | 0 2 2 |
| 33.91 | 43 | 2 0 0 |
| 35.35 | 25 | 0 1 3 |
| 36.41 | 19 | 1 3 0 |
| 47.15 | 17 | 0 3 3 |
| 59.34 | 18 | 2 3 3 |
| 62.67 | 20 | 1 5 2 |

Structure:
Lattice parameters (Å, degrees): 5.2867 8.3708 7.9974 90.00 90.00 90.00
Space group Pmmn (No. 59, origin choice 2)
Asymmetric unit:
La1 0.2500 0.0400 0.2030 (multiplicity 4)
La2 0.2500 0.2500 0.7376 (multiplicity 2)
La3 0.2500 0.7500 0.5562 (multiplicity 2)
Hg1 0.2500 0.7500 0.9488 (multiplicity 2)
H1 0.2500 0.2500 0.4190 (multiplicity 2)

The following is a theoretical powder diffractogram of Li4As3Pd4. It was derived from a cell relaxed with PBE, using λ = 1.5418 Å (Cu Kα).
No peak broadening, texture or thermal motion is included.

Principal peaks in the range 2θ = 10–90°, low angle first:
| 2θ (°) | I (rel.) | index |
| --- | --- | --- |
| 23.12 | 85 | 0 1 2 |
| 26.85 | 63 | 0 1 -2 |
| 30.22 | 64 | 1 0 1 |
| 34.62 | 40 | 1 0 -2 |
| 36.78 | 51 | 1 1 1 |
| 38.58 | 32 | 1 0 4 |
| 39.33 | 38 | -1 1 2 |
| 42.25 | 85 | 0 2 1 |
| 42.35 | 64 | 1 1 4 |
| 43.33 | 100 | 0 1 6 |

Structure:
Lattice parameters (Å, degrees): 2.9764 4.2803 13.4098 80.84 83.70 89.96
Space group P-1 (No. 2)
Asymmetric unit:
Li1 0.0524 0.0530 0.3936 (multiplicity 2)
Li2 0.1759 0.6777 0.1450 (multiplicity 2)
As1 0.3520 0.8512 0.7968 (multiplicity 2)
As2 0.5000 0.5000 0.5000 (multiplicity 1)
Pd1 0.2273 0.2277 0.0447 (multiplicity 2)
Pd2 0.4060 0.4052 0.6889 (multiplicity 2)

> Number 1 is which compound?

Pr2AlSb4

> What is the formula in the first record?

Pr2AlSb4